Starting from a structure optimized by DFT (GGA-PBE), the powder diffractogram of Sc2SiGePt4 was calculated for CuKα.

The 6 most intense peaks (5 to 70 degrees two-theta), by angle:
| Position (°2θ) | I_rel |
| --- | --- |
| 25.6 | 42 |
| 36.1 | 100 |
| 42.1 | 26 |
| 44.1 | 32 |
| 44.5 | 28 |
| 46.4 | 28 |

Structure:
Cell: 7.1108 3.7060 10.0537 Å, 90.00 90.00 90.00°
Fractional coordinates of all 16 atoms:
Sc1 0.0000 0.0000 0.0000
Sc2 0.0000 0.5000 0.5000
Sc3 0.5000 0.0000 0.0926
Sc4 0.5000 0.5000 0.5926
Si1 0.5000 0.0000 0.8118
Si2 0.5000 0.5000 0.3118
Ge1 0.0000 0.0000 0.2806
Ge2 0.0000 0.5000 0.7806
Pt1 0.2084 0.0000 0.6797
Pt2 0.2084 0.5000 0.1797
Pt3 0.3036 0.0000 0.4094
Pt4 0.3036 0.5000 0.9094
Pt5 0.6964 0.0000 0.4094
Pt6 0.6964 0.5000 0.9094
Pt7 0.7916 0.0000 0.6797
Pt8 0.7916 0.5000 0.1797

Starting from a structure optimized by DFT (GGA-PBE), the powder diffractogram of Ag2Bi2S3Cl2 was calculated for CuKα.

The 6 most intense peaks (5 to 70 degrees two-theta), by angle:
| Position (°2θ) | I_rel |
| --- | --- |
| 16.6 | 100 |
| 23.6 | 58 |
| 27.3 | 47 |
| 29.2 | 46 |
| 40.4 | 45 |
| 40.6 | 45 |

Structure:
Cell: 7.2799 11.0873 11.4094 Å, 74.88 89.74 88.05°
Fractional coordinates of all 36 atoms:
Ag1 0.0125 0.2929 0.2999
Ag2 0.2436 0.4950 0.1470
Ag3 0.2450 0.5061 0.6478
Ag4 0.4845 0.6880 0.2056
Ag5 0.5155 0.3120 0.7944
Ag6 0.7550 0.4939 0.3522
Ag7 0.7564 0.5050 0.8530
Ag8 0.9875 0.7071 0.7001
Bi1 0.0750 0.8008 0.3405
Bi2 0.1140 0.2042 0.9856
Bi3 0.3885 0.7989 0.8418
Bi4 0.4239 0.2005 0.4880
Bi5 0.5761 0.7995 0.5120
Bi6 0.6115 0.2011 0.1582
Bi7 0.8860 0.7958 0.0144
Bi8 0.9250 0.1992 0.6595
S1 0.0064 0.3681 0.7795
S2 0.0963 0.6535 0.9121
S3 0.1171 0.3426 0.4862
S4 0.3764 0.6552 0.4158
S5 0.4031 0.3483 0.9864
S6 0.4939 0.6340 0.7180
S7 0.5061 0.3660 0.2820
S8 0.5969 0.6517 0.0136
S9 0.6236 0.3448 0.5842
S10 0.8829 0.6574 0.5138
S11 0.9037 0.3465 0.0879
S12 0.9936 0.6319 0.2205
Cl1 0.2206 0.9075 0.5677
Cl2 0.2371 0.8992 0.0610
Cl3 0.2635 0.0950 0.2626
Cl4 0.2890 0.1049 0.7642
Cl5 0.7110 0.8951 0.2358
Cl6 0.7365 0.9050 0.7374
Cl7 0.7629 0.1008 0.9390
Cl8 0.7794 0.0925 0.4323

- Which formula does entry 2 have?
  Ag2Bi2S3Cl2